Record 1
For LiTmNO, the GGA-PBE geometry in OQMD gives the calculated powder XRD pattern in this record (CuKα).

Peak list (10 most intense, 10° ≤ 2θ ≤ 90°, sorted by position)
(hkl)  d/Å  2θ/deg  I_rel
1 0 0  6.425  13.78  14
2 0 0  3.213  27.77  19
1 1 1  3.111  28.70  100
0 2 0  2.883  31.02  24
2 1 1  2.384  37.74  18
0 0 2  2.258  39.93  15
3 0 0  2.144  42.14  25
0 2 2  1.778  51.41  16
1 3 1  1.705  53.77  19
3 0 2  1.555  59.45  15

```
data_LiTmNO
_symmetry_space_group_name_H-M 'P b c m'
_symmetry_Int_Tables_number 57
_cell_length_a 6.425
_cell_length_b 5.765
_cell_length_c 4.516
_cell_angle_alpha 90.00
_cell_angle_beta 90.00
_cell_angle_gamma 90.00
loop_
_symmetry_equiv_pos_as_xyz
'x,y,z'
'-x,-y,-z'
'-x,-y,z+1/2'
'x,y,-z+1/2'
'x,-y+1/2,-z'
'-x,y+1/2,z'
'-x,y+1/2,-z+1/2'
'x,-y+1/2,z+1/2'
loop_
_atom_site_label
_atom_site_type_symbol
_atom_site_fract_x
_atom_site_fract_y
_atom_site_fract_z
_atom_site_occupancy
Li1 Li 0.099 0.028 0.250 1
Tm1 Tm 0.300 0.019 0.750 1
N1 N 0.062 0.750 0.000 1
O1 O 0.383 0.100 0.250 1
```

Record 2
For LiZnNO, the GGA-PBE geometry in OQMD gives the calculated powder XRD pattern in this record (CuKα).

Peak list (10 most intense, 10° ≤ 2θ ≤ 90°, sorted by position)
(hkl)  d/Å  2θ/deg  I_rel
0 1 0  3.572  24.93  94
1 0 1  3.155  28.29  100
0 0 2  2.863  31.24  55
1 1 1  2.365  38.05  88
0 1 2  2.234  40.37  64
2 0 0  1.890  48.14  34
0 2 0  1.786  51.15  28
1 2 1  1.554  59.47  24
1 1 3  1.538  60.17  54
2 1 2  1.443  64.58  28

```
data_LiZnNO
_symmetry_space_group_name_H-M 'P m m a'
_symmetry_Int_Tables_number 51
_cell_length_a 3.781
_cell_length_b 3.572
_cell_length_c 5.727
_cell_angle_alpha 90.00
_cell_angle_beta 90.00
_cell_angle_gamma 90.00
loop_
_symmetry_equiv_pos_as_xyz
'x,y,z'
'-x,-y,-z'
'-x+1/2,-y,z'
'x+1/2,y,-z'
'x+1/2,-y,-z'
'-x+1/2,y,z'
'-x,y,-z'
'x,-y,z'
loop_
_atom_site_label
_atom_site_type_symbol
_atom_site_fract_x
_atom_site_fract_y
_atom_site_fract_z
_atom_site_occupancy
Li1 Li 0.250 0.000 0.229 1
Zn1 Zn 0.250 0.500 0.759 1
N1 N 0.250 0.000 0.571 1
O1 O 0.250 0.500 0.139 1
```

Record 3
For Sr2LiPdN2, the GGA-PBE geometry in OQMD gives the calculated powder XRD pattern in this record (CuKα).

Peak list (10 most intense, 10° ≤ 2θ ≤ 90°, sorted by position)
(hkl)  d/Å  2θ/deg  I_rel
0 0 1  7.226  12.25  65
0 1 1  3.492  25.50  46
1 1 0  2.774  32.27  90
0 1 2  2.678  33.46  100
1 0 2  2.638  33.98  96
0 2 0  1.995  45.47  25
2 0 0  1.930  47.08  22
1 2 2  1.591  57.96  40
2 1 2  1.566  58.98  38
1 1 4  1.514  61.23  29

```
data_Sr2LiPdN2
_symmetry_space_group_name_H-M 'P m m m'
_symmetry_Int_Tables_number 47
_cell_length_a 3.861
_cell_length_b 3.989
_cell_length_c 7.226
_cell_angle_alpha 90.00
_cell_angle_beta 90.00
_cell_angle_gamma 90.00
loop_
_symmetry_equiv_pos_as_xyz
'x,y,z'
'-x,-y,-z'
'-x,-y,z'
'x,y,-z'
'x,-y,-z'
'-x,y,z'
'-x,y,-z'
'x,-y,z'
loop_
_atom_site_label
_atom_site_type_symbol
_atom_site_fract_x
_atom_site_fract_y
_atom_site_fract_z
_atom_site_occupancy
Sr1 Sr 0.000 0.000 0.246 1
Li1 Li 0.500 0.500 0.000 1
Pd1 Pd 0.500 0.500 0.500 1
N1 N 0.000 0.500 0.500 1
N2 N 0.500 0.000 0.000 1
```

Record 4
For Sr2LiPtN2, the GGA-PBE geometry in OQMD gives the calculated powder XRD pattern in this record (CuKα).

Peak list (10 most intense, 10° ≤ 2θ ≤ 90°, sorted by position)
(hkl)  d/Å  2θ/deg  I_rel
0 0 1  7.248  12.21  100
0 1 1  3.520  25.30  57
1 0 1  3.382  26.35  27
1 1 0  2.773  32.28  75
0 1 2  2.694  33.26  81
1 0 2  2.630  34.08  76
1 1 1  2.590  34.64  35
1 2 2  1.599  57.66  34
2 1 2  1.559  59.27  31
1 1 4  1.517  61.09  25

```
data_Sr2LiPtN2
_symmetry_space_group_name_H-M 'P m m m'
_symmetry_Int_Tables_number 47
_cell_length_a 3.824
_cell_length_b 4.027
_cell_length_c 7.248
_cell_angle_alpha 90.00
_cell_angle_beta 90.00
_cell_angle_gamma 90.00
loop_
_symmetry_equiv_pos_as_xyz
'x,y,z'
'-x,-y,-z'
'-x,-y,z'
'x,y,-z'
'x,-y,-z'
'-x,y,z'
'-x,y,-z'
'x,-y,z'
loop_
_atom_site_label
_atom_site_type_symbol
_atom_site_fract_x
_atom_site_fract_y
_atom_site_fract_z
_atom_site_occupancy
Sr1 Sr 0.000 0.000 0.246 1
Li1 Li 0.500 0.500 0.000 1
Pt1 Pt 0.500 0.500 0.500 1
N1 N 0.000 0.500 0.500 1
N2 N 0.500 0.000 0.000 1
```